Record 1
# RhPb
Calculated X-ray diffraction stick pattern, Cu Kα (weighted mean of Kα1 and Kα2). Input: the PBE geometry in Alexandria.
Peak positions follow from Bragg's law for the DFT cell and can differ from measured ones.

Most intense lines, 2θ from 10° to 80°, sorted by position:
2θ/deg, I_rel
22.43, 17
29.39, 50
35.46, 100
38.71, 68
43.95, 37
52.40, 16
55.90, 24
67.96, 30
72.08, 21
73.70, 16

Structure:
```
RhPb
1.0
3.290 0.000 0.000
0.000 3.290 0.000
0.000 0.000 7.928
Rh Pb
2 2
Cartesian
0.822 0.822 0.747
2.467 2.467 7.181
0.822 0.822 5.478
2.467 2.467 2.451
```

=====

Record 2
# RhPbSeO5
Calculated X-ray diffraction stick pattern, Cu Kα (weighted mean of Kα1 and Kα2). Input: the PBE geometry in Alexandria.
Peak positions follow from Bragg's law for the DFT cell and can differ from measured ones.

Most intense lines, 2θ from 10° to 80°, sorted by position:
2θ/deg, I_rel
16.98, 43
23.07, 75
27.57, 100
28.60, 50
29.50, 27
31.61, 56
35.50, 35
44.39, 26
48.96, 25
56.18, 28

Structure:
```
RhPbSeO5
1.0
3.258 -4.764 0.000
3.258 4.764 0.000
-2.647 0.000 8.813
Rh Pb Se O
2 2 2 10
Cartesian
1.273 2.766 6.610
2.597 -2.766 2.203
3.258 0.000 0.000
1.935 0.000 4.407
2.597 3.007 2.203
1.273 -3.007 6.610
-1.653 0.774 7.928
1.323 1.838 2.590
-0.329 -0.774 3.521
1.273 0.927 6.610
3.870 1.838 1.816
0.000 -1.838 6.997
2.597 -0.927 2.203
4.199 0.774 5.292
2.547 -1.838 6.223
5.523 -0.774 0.885
```

=====

Record 3
# Ag7Pt5
Calculated X-ray diffraction stick pattern, Cu Kα (weighted mean of Kα1 and Kα2). Input: the PBE geometry in Alexandria.
Peak positions follow from Bragg's law for the DFT cell and can differ from measured ones.

Most intense lines, 2θ from 10° to 80°, sorted by position:
2θ/deg, I_rel
10.29, 5
16.26, 3
27.38, 2
37.67, 2
38.40, 100
44.64, 49
64.94, 26
65.08, 5
78.02, 25
78.14, 12

Structure:
```
Ag7Pt5
1.0
2.874 -8.599 0.000
2.874 8.599 0.000
0.000 0.000 4.062
Ag Pt
7 5
Cartesian
0.000 0.000 0.000
2.874 5.728 0.000
1.463 1.445 2.031
1.463 -1.445 2.031
4.286 1.445 2.031
4.286 -1.445 2.031
2.874 -5.728 0.000
1.437 4.300 2.031
2.874 2.916 0.000
1.437 -4.300 2.031
2.874 0.000 0.000
2.874 -2.916 0.000
```